1.
For Sm2Tm6Sc, a GGA-PBE-relaxed structure gives the calculated powder X-ray diffraction pattern in this record (Cu Ka).

Main lines, sorted by position (2θ from 10° to 80°):
| 2θ (°) | I_rel |
| --- | --- |
| 10.65 | 3 |
| 18.51 | 3 |
| 26.19 | 8 |
| 32.30 | 100 |
| 42.08 | 13 |
| 46.33 | 16 |
| 53.89 | 4 |
| 57.65 | 28 |
| 64.26 | 16 |
| 64.41 | 4 |
| 67.70 | 7 |
| 76.99 | 7 |

Crystal structure
abc: 9.5892 9.5892 3.4028
angles: 90.00 90.00 120.00
Positions (direct):
Sm1 0.3333 0.6667 0.0000
Sm2 0.6667 0.3333 0.0000
Tm1 0.0000 0.3287 0.5000
Tm2 0.0000 0.6713 0.5000
Tm3 0.3287 0.0000 0.5000
Tm4 0.3287 0.3287 0.5000
Tm5 0.6713 0.0000 0.5000
Tm6 0.6713 0.6713 0.5000
Sc1 0.0000 0.0000 0.0000


2.
For KRbNiSe2, a GGA-PBE-relaxed structure gives the calculated powder X-ray diffraction pattern in this record (Cu Ka).

Main lines, sorted by position (2θ from 10° to 80°):
| 2θ (°) | I_rel |
| --- | --- |
| 11.35 | 20 |
| 13.16 | 60 |
| 23.45 | 31 |
| 28.91 | 18 |
| 30.83 | 100 |
| 31.45 | 19 |
| 33.01 | 19 |
| 38.75 | 13 |
| 41.56 | 30 |
| 47.39 | 13 |
| 49.40 | 14 |
| 55.61 | 18 |

Crystal structure
abc: 5.6885 7.7960 6.7260
angles: 90.00 90.00 90.00
Positions (direct):
K1 0.2500 0.0000 0.1053
K2 0.7500 0.0000 0.8947
Rb1 0.2500 0.5000 0.2860
Rb2 0.7500 0.5000 0.7140
Ni1 0.0000 0.0000 0.5000
Ni2 0.5000 0.0000 0.5000
Se1 0.2500 0.2052 0.6595
Se2 0.2500 0.7948 0.6595
Se3 0.7500 0.2052 0.3405
Se4 0.7500 0.7948 0.3405